1.
Theoretical powder X-ray diffraction pattern of KLiN2 for Cu Kα, from a cell relaxed with PBE.

Structural model:
```
data_KLiN2
_cell_length_a 3.8470
_cell_length_b 3.8470
_cell_length_c 14.0942
_cell_angle_alpha 90.00
_cell_angle_beta 90.00
_cell_angle_gamma 90.00
_symmetry_space_group_name_H-M 'I 41/a m d'
_symmetry_Int_Tables_number 141
loop_
_symmetry_equiv_pos_as_xyz
'x,y,z'
'-x,-y,-z'
'-y+1/4,x+3/4,z+1/4'
'y+1/4,-x+3/4,-z+1/4'
'-x+1/2,-y,z+1/2'
'x+1/2,y,-z+1/2'
'y+1/4,-x+1/4,z+3/4'
'-y+1/4,x+1/4,-z+3/4'
'x,-y,-z'
'-x,y,z'
'-y+1/4,-x+1/4,-z+3/4'
'y+1/4,x+1/4,z+3/4'
'-x+1/2,y,-z+1/2'
'x+1/2,-y,z+1/2'
'y+1/4,x+3/4,-z+1/4'
'-y+1/4,-x+3/4,z+1/4'
'x+1/2,y+1/2,z+1/2'
'-x+1/2,-y+1/2,-z+1/2'
'-y+3/4,x+1/4,z+3/4'
'y+3/4,-x+1/4,-z+3/4'
'-x,-y+1/2,z'
'x,y+1/2,-z'
'y+3/4,-x+3/4,z+1/4'
'-y+3/4,x+3/4,-z+1/4'
'x+1/2,-y+1/2,-z+1/2'
'-x+1/2,y+1/2,z+1/2'
'-y+3/4,-x+3/4,-z+1/4'
'y+3/4,x+3/4,z+1/4'
'-x,y+1/2,-z'
'x,-y+1/2,z'
'y+3/4,x+1/4,-z+3/4'
'-y+3/4,-x+1/4,z+3/4'
loop_
_atom_site_label
_atom_site_type_symbol
_atom_site_fract_x
_atom_site_fract_y
_atom_site_fract_z
_atom_site_occupancy
K1 K 0.0000 0.2500 0.3750 1
Li1 Li 0.0000 0.2500 0.8750 1
N1 N 0.0000 0.0000 0.0000 1
```

The 10 most intense peaks (15 to 90 degrees two-theta), low angle first:
| 2θ/deg | intensity | (hkl) |
| --- | --- | --- |
| 24.0 | 13 | 1 0 1 |
| 30.0 | 100 | 1 0 3 |
| 35.4 | 84 | 1 1 2 |
| 39.6 | 41 | 1 0 5 |
| 47.3 | 17 | 2 0 0 |
| 51.4 | 26 | 1 1 6 |
| 51.9 | 14 | 0 0 8 |
| 53.7 | 28 | 2 1 1 |
| 54.3 | 21 | 2 0 4 |
| 74.8 | 16 | 2 2 4 |


2.
Theoretical powder X-ray diffraction pattern of KNaLi4 for Cu Kα, from a cell relaxed with PBE.

Structural model:
```
data_KNaLi4
_cell_length_a 8.9800
_cell_length_b 8.9800
_cell_length_c 8.9800
_cell_angle_alpha 90.00
_cell_angle_beta 90.00
_cell_angle_gamma 90.00
_symmetry_space_group_name_H-M 'F -4 3 m'
_symmetry_Int_Tables_number 216
_symmetry_space_group_name_Hall 'F -4 2 3'
loop_
_atom_site_label
_atom_site_type_symbol
_atom_site_fract_x
_atom_site_fract_y
_atom_site_fract_z
_atom_site_occupancy
K1 K 0.0000 0.0000 0.0000 1
Na1 Na 0.2500 0.2500 0.7500 1
Li1 Li 0.1237 0.1237 0.3763 1
```

The 10 most intense peaks (15 to 90 degrees two-theta), low angle first:
| 2θ/deg | intensity | (hkl) |
| --- | --- | --- |
| 17.1 | 75 | 1 1 1 |
| 28.1 | 100 | 2 2 0 |
| 33.1 | 98 | 3 1 1 |
| 44.0 | 17 | 3 3 1 |
| 49.7 | 36 | 4 2 2 |
| 53.0 | 31 | 5 1 1 |
| 58.1 | 19 | 4 4 0 |
| 65.8 | 14 | 6 2 0 |
| 79.9 | 15 | 6 4 2 |
| 82.5 | 16 | 5 5 3 |


3.
Theoretical powder X-ray diffraction pattern of KNa5Li for Cu Kα, from a cell relaxed with PBE.

Structural model:
```
data_KNa5Li
_cell_length_a 5.0187
_cell_length_b 5.0187
_cell_length_c 11.7416
_cell_angle_alpha 90.00
_cell_angle_beta 90.00
_cell_angle_gamma 90.00
_symmetry_space_group_name_H-M 'P 4/m m m'
_symmetry_Int_Tables_number 123
_symmetry_space_group_name_Hall '-P 4 2'
loop_
_atom_site_label
_atom_site_type_symbol
_atom_site_fract_x
_atom_site_fract_y
_atom_site_fract_z
_atom_site_occupancy
K1 K 0.0000 0.0000 0.0000 1
Na1 Na 0.0000 0.0000 0.5000 1
Na2 Na 0.0000 0.5000 0.2863 1
Li1 Li 0.5000 0.5000 0.5000 1
```

The 10 most intense peaks (15 to 90 degrees two-theta), low angle first:
| 2θ/deg | intensity | (hkl) |
| --- | --- | --- |
| 17.7 | 26 | 1 0 0 |
| 22.7 | 10 | 0 0 3 |
| 23.3 | 27 | 1 0 2 |
| 29.4 | 100 | 1 1 2 |
| 30.5 | 15 | 0 0 4 |
| 35.8 | 33 | 2 0 0 |
| 46.4 | 11 | 1 1 5 |
| 47.7 | 16 | 2 0 4 |
| 51.5 | 11 | 2 2 0 |
| 60.4 | 22 | 3 1 2 |


4.
Theoretical powder X-ray diffraction pattern of K3Na7Li2 for Cu Kα, from a cell relaxed with PBE.

Structural model:
```
data_K3Na7Li2
_cell_length_a 7.2484
_cell_length_b 7.2484
_cell_length_c 33.7183
_cell_angle_alpha 90.00
_cell_angle_beta 90.00
_cell_angle_gamma 120.00
_symmetry_space_group_name_H-M 'R -3 m'
_symmetry_Int_Tables_number 166
_symmetry_space_group_name_Hall '-R 3 2"'
loop_
_atom_site_label
_atom_site_type_symbol
_atom_site_fract_x
_atom_site_fract_y
_atom_site_fract_z
_atom_site_occupancy
K1 K 0.0000 0.0000 0.0000 1
K2 K 0.0000 0.0000 0.1424 1
Na1 Na 0.0000 0.0000 0.5000 1
Na2 Na 0.9998 0.4999 0.0771 1
Li1 Li 0.0000 0.0000 0.3331 1
```

The 10 most intense peaks (15 to 90 degrees two-theta), low angle first:
| 2θ/deg | intensity | (hkl) |
| --- | --- | --- |
| 23.3 | 61 | 1 0 7 |
| 24.6 | 32 | 1 1 0 |
| 25.5 | 54 | 0 1 8 |
| 28.6 | 66 | 0 2 1 |
| 28.9 | 27 | 2 0 2 |
| 29.3 | 100 | 1 1 6 |
| 43.8 | 22 | 1 2 8 |
| 46.3 | 26 | 3 0 6 |
| 47.6 | 31 | 2 0 14 |
| 50.4 | 30 | 2 2 0 |